Calculated X-ray diffraction stick pattern
Compound: ThPaW
Radiation: CuKα
Structure: a GGA-PBE-relaxed structure
Lines closer than 0.1° are merged.

Atomic structure:
Cell: 4.8119 4.8119 4.8119 Å, 60.00 60.00 60.00°
Fractional positions:
Th 0.0000 0.0000 0.0000
Pa 0.2500 0.2500 0.2500
W 0.5000 0.5000 0.5000

Top 12 peaks for 2θ from 10° to 90°, in order of rising 2θ:
d (Å), two_theta, I_rel
3.929, 22.63, 31
3.403, 26.19, 10
2.406, 37.38, 100
2.052, 44.14, 17
1.964, 46.21, 3
1.701, 53.89, 18
1.561, 59.18, 7
1.522, 60.88, 4
1.389, 67.42, 37
1.310, 72.12, 5
1.203, 79.71, 12
1.150, 84.17, 6